For DySc3Pt4, a DFT-relaxed cell (GGA-PBE, Alexandria) gives the simulated X-ray diffraction stick pattern in this record (a wavelength of 1.5418 Å).
Peak positions follow from Bragg's law for the DFT cell and can differ from measured ones.

Top 8 peaks for 2θ = 5–70°, low angle first:
Position (°2θ), I (rel.), h k l
26.32, 26, 2 0 1
27.17, 12, 0 2 0
37.56, 53, 4 0 0
38.19, 100, 2 2 1
46.97, 11, 4 2 0
54.17, 18, 4 0 2
68.20, 36, 6 2 1
69.43, 16, 4 4 0

Structural model:
```
data_DySc3Pt4
_chemical_formula_sum 'Dy2 Sc6 Pt8'
_space_group_name_H-M_alt 'P 1'
_space_group_IT_number 1
_space_group_name_Hall 'P 1'
_cell_length_a 9.575
_cell_length_b 6.564
_cell_length_c 4.790
_cell_angle_alpha 90.00
_cell_angle_beta 90.00
_cell_angle_gamma 90.00
loop_
_atom_site_label
_atom_site_type_symbol
_atom_site_fract_x
_atom_site_fract_y
_atom_site_fract_z
Dy1 Dy 0.000 0.000 0.000
Dy2 Dy 0.500 0.000 0.000
Sc1 Sc 0.000 0.500 0.000
Sc2 Sc 0.250 0.000 0.498
Sc3 Sc 0.250 0.500 0.497
Sc4 Sc 0.500 0.500 0.000
Sc5 Sc 0.750 0.000 0.502
Sc6 Sc 0.750 0.500 0.503
Pt1 Pt 0.000 0.261 0.500
Pt2 Pt 0.000 0.739 0.500
Pt3 Pt 0.250 0.261 0.995
Pt4 Pt 0.250 0.739 0.995
Pt5 Pt 0.500 0.261 0.500
Pt6 Pt 0.500 0.739 0.500
Pt7 Pt 0.750 0.261 0.005
Pt8 Pt 0.750 0.739 0.005
```